For Li4FeW3O12, DFT lattice parameters and positions (PBE+U) gives the calculated powder X-ray diffraction pattern in this record (copper Kα).
Peak positions follow from Bragg's law for the DFT cell and can differ from measured ones.

Cell and atoms:
Lattice parameters (Å, degrees): 5.1820 5.4784 7.5199 94.43 90.36 90.14
Atoms (fractional coordinates):
Li  0.0000  0.0000  0.0000
Li  0.0048  0.8981  0.5795
Li  0.5003  0.5453  0.9941
Li  0.5056  0.5322  0.5186
Fe  0.5040  0.9617  0.7948
W  0.0082  0.4459  0.7893
W  0.4989  0.9545  0.2955
W  0.9981  0.4482  0.2890
O  0.1218  0.4474  0.5413
O  0.1919  0.1291  0.2320
O  0.1960  0.7453  0.8526
O  0.3057  0.2650  0.8596
O  0.3176  0.6359  0.2348
O  0.3837  0.9333  0.5380
O  0.6229  0.9337  0.0565
O  0.6846  0.2565  0.3618
O  0.7060  0.6315  0.7399
O  0.8014  0.7554  0.3654
O  0.8300  0.1379  0.7475
O  0.8828  0.4486  0.0460

Largest 12 diffraction maxima, most intense first, 2θ from 10° to 90°:
- (1 1 0), 2θ = 23.67°, 3.759 Å, rel. 100
- (0 0 2), 2θ = 23.74°, 3.749 Å, rel. 50
- (0 2 0), 2θ = 32.78°, 2.732 Å, rel. 39
- (-1 1 2), 2θ = 34.60°, 2.593 Å, rel. 28
- (1 1 -4), 2θ = 53.32°, 1.718 Å, rel. 20
- (1 -1 2), 2θ = 32.89°, 2.723 Å, rel. 19
- (2 2 0), 2θ = 48.54°, 1.876 Å, rel. 18
- (1 1 2), 2θ = 34.78°, 2.579 Å, rel. 14
- (1 3 0), 2θ = 53.39°, 1.716 Å, rel. 13
- (1 -3 2), 2θ = 57.38°, 1.606 Å, rel. 12
- (2 0 -4), 2θ = 60.82°, 1.523 Å, rel. 11
- (3 1 2), 2θ = 62.24°, 1.492 Å, rel. 10